1.
For LiPa, a cell relaxed with PBE gives the simulated powder diffraction line list in this record (CuKα).
Kinematic intensities with the Lorentz-polarization factor, no thermal factor.

Main lines, by intensity (5 to 70 degrees two-theta):
2θ 15.61, rel. 1000
2θ 37.69, rel. 767
2θ 34.08, rel. 478
2θ 47.11, rel. 396
2θ 31.53, rel. 209
2θ 60.26, rel. 202
2θ 63.39, rel. 163
2θ 61.00, rel. 100
2θ 48.10, rel. 61
2θ 65.83, rel. 27

a b c (Å): 3.038 3.038 5.675
angles (deg): 90.00 90.00 120.00
Sites, in units of the cell vectors:
Li (0.000, 0.000, 0.000)
Pa (0.667, 0.333, 0.500)

---

2.
For MnTe2, a cell relaxed with PBE gives the simulated powder diffraction line list in this record (CuKα).
Kinematic intensities with the Lorentz-polarization factor, no thermal factor.

Main lines, by intensity (5 to 70 degrees two-theta):
2θ 29.85, rel. 1000
2θ 32.77, rel. 689
2θ 51.06, rel. 412
2θ 44.92, rel. 400
2θ 63.72, rel. 213
2θ 49.07, rel. 146
2θ 54.87, rel. 92
2θ 65.40, rel. 82
2θ 38.03, rel. 54
2θ 62.01, rel. 47
2θ 60.27, rel. 26
2θ 47.03, rel. 16

a b c (Å): 6.693 6.693 6.693
angles (deg): 90.00 90.00 90.00
Sites, in units of the cell vectors:
Mn (0.000, 0.000, 0.000)
Mn (0.000, 0.500, 0.500)
Mn (0.500, 0.000, 0.500)
Mn (0.500, 0.500, 0.000)
Te (0.134, 0.634, 0.866)
Te (0.134, 0.866, 0.366)
Te (0.366, 0.134, 0.866)
Te (0.366, 0.366, 0.366)
Te (0.634, 0.634, 0.634)
Te (0.634, 0.866, 0.134)
Te (0.866, 0.134, 0.634)
Te (0.866, 0.366, 0.134)

---

3.
For Cr3SiNi2, a cell relaxed with PBE gives the simulated powder diffraction line list in this record (CuKα).
Kinematic intensities with the Lorentz-polarization factor, no thermal factor.

Main lines, by intensity (5 to 70 degrees two-theta):
2θ 45.41, rel. 1000
2θ 42.68, rel. 334
2θ 52.94, rel. 123
2θ 29.83, rel. 117
2θ 64.08, rel. 99
2θ 49.70, rel. 72
2θ 24.26, rel. 48
2θ 52.14, rel. 44
2θ 61.95, rel. 43
2θ 37.79, rel. 32
2θ 67.55, rel. 22
2θ 28.53, rel. 10

a b c (Å): 7.338 7.338 7.338
angles (deg): 60.00 60.00 60.00
Sites, in units of the cell vectors:
Cr (0.047, 0.047, 0.703)
Cr (0.047, 0.703, 0.047)
Cr (0.047, 0.703, 0.703)
Cr (0.297, 0.297, 0.953)
Cr (0.297, 0.953, 0.297)
Cr (0.297, 0.953, 0.953)
Cr (0.703, 0.047, 0.047)
Cr (0.703, 0.047, 0.703)
Cr (0.703, 0.703, 0.047)
Cr (0.953, 0.297, 0.297)
Cr (0.953, 0.297, 0.953)
Cr (0.953, 0.953, 0.297)
Si (0.000, 0.500, 0.500)
Si (0.500, 0.000, 0.500)
Si (0.500, 0.500, 0.000)
Si (0.500, 0.500, 0.500)
Ni (0.290, 0.290, 0.290)
Ni (0.290, 0.290, 0.630)
Ni (0.290, 0.630, 0.290)
Ni (0.370, 0.710, 0.710)
Ni (0.630, 0.290, 0.290)
Ni (0.710, 0.370, 0.710)
Ni (0.710, 0.710, 0.370)
Ni (0.710, 0.710, 0.710)

---

4.
For V5B6, a cell relaxed with PBE gives the simulated powder diffraction line list in this record (CuKα).
Kinematic intensities with the Lorentz-polarization factor, no thermal factor.

Main lines, by intensity (5 to 70 degrees two-theta):
2θ 44.41, rel. 1000
2θ 36.84, rel. 833
2θ 45.31, rel. 669
2θ 30.53, rel. 322
2θ 42.56, rel. 258
2θ 60.82, rel. 168
2θ 62.30, rel. 155
2θ 56.81, rel. 152
2θ 52.48, rel. 115
2θ 42.65, rel. 88
2θ 33.93, rel. 65
2θ 25.16, rel. 46

a b c (Å): 10.725 10.725 3.046
angles (deg): 90.00 90.00 164.02
Sites, in units of the cell vectors:
V (0.000, 0.000, 0.000)
V (0.194, 0.806, 0.500)
V (0.383, 0.617, 0.000)
V (0.617, 0.383, 0.000)
V (0.806, 0.194, 0.500)
B (0.085, 0.915, 0.500)
B (0.274, 0.726, 0.000)
B (0.459, 0.541, 0.500)
B (0.541, 0.459, 0.500)
B (0.726, 0.274, 0.000)
B (0.915, 0.085, 0.500)

---

5.
For Dy2InPd2, a cell relaxed with PBE gives the simulated powder diffraction line list in this record (CuKα).
Kinematic intensities with the Lorentz-polarization factor, no thermal factor.

Main lines, by intensity (5 to 70 degrees two-theta):
2θ 35.41, rel. 1000
2θ 36.76, rel. 423
2θ 33.39, rel. 327
2θ 62.68, rel. 174
2θ 54.80, rel. 147
2θ 48.87, rel. 141
2θ 32.76, rel. 100
2θ 66.58, rel. 99
2θ 48.55, rel. 87
2θ 56.18, rel. 85
2θ 50.05, rel. 64
2θ 42.14, rel. 63

a b c (Å): 7.732 7.732 3.728
angles (deg): 90.00 90.00 90.00
Sites, in units of the cell vectors:
Dy (0.173, 0.327, 0.000)
Dy (0.327, 0.827, 0.000)
Dy (0.673, 0.173, 0.000)
Dy (0.827, 0.673, 0.000)
In (0.000, 0.000, 0.500)
In (0.500, 0.500, 0.500)
Pd (0.128, 0.628, 0.500)
Pd (0.372, 0.128, 0.500)
Pd (0.628, 0.872, 0.500)
Pd (0.872, 0.372, 0.500)

---

6.
For CuH6N2Cl2, a cell relaxed with PBE gives the simulated powder diffraction line list in this record (CuKα).
Kinematic intensities with the Lorentz-polarization factor, no thermal factor.

Main lines, by intensity (5 to 70 degrees two-theta):
2θ 14.33, rel. 1000
2θ 29.72, rel. 822
2θ 20.61, rel. 661
2θ 23.28, rel. 579
2θ 34.14, rel. 423
2θ 38.09, rel. 347
2θ 45.88, rel. 314
2θ 47.60, rel. 306
2θ 33.14, rel. 282
2θ 54.62, rel. 223
2θ 52.07, rel. 208
2θ 57.13, rel. 196

a b c (Å): 6.496 6.496 6.012
angles (deg): 90.00 90.00 107.95
Sites, in units of the cell vectors:
Cu (0.112, 0.888, 0.750)
Cu (0.888, 0.112, 0.250)
H (0.154, 0.469, 0.113)
H (0.154, 0.469, 0.387)
H (0.288, 0.329, 0.250)
H (0.329, 0.288, 0.750)
H (0.469, 0.154, 0.613)
H (0.469, 0.154, 0.887)
H (0.531, 0.846, 0.113)
H (0.531, 0.846, 0.387)
H (0.671, 0.712, 0.250)
H (0.712, 0.671, 0.750)
H (0.846, 0.531, 0.613)
H (0.846, 0.531, 0.887)
N (0.148, 0.373, 0.250)
N (0.373, 0.148, 0.750)
N (0.627, 0.852, 0.250)
N (0.852, 0.627, 0.750)
Cl (0.112, 0.888, 0.250)
Cl (0.340, 0.660, 0.750)
Cl (0.660, 0.340, 0.250)
Cl (0.888, 0.112, 0.750)